Starting from a PBE-relaxed structure, the powder X-ray diffraction pattern of Tb2PuSb was computed for Cu Kα (weighted mean of Kα1 and Kα2).
Intensities are scaled so that the largest is 1000.

a b c (Å): 4.866 4.866 4.575
angles (deg): 90.00 90.00 90.00
Space group P4/mmm (No. 123)
One atom of each set of equivalent atoms:
Tb  0.000  0.500  0.000 [2 per cell]
Pu  0.000  0.000  0.500 [1 per cell]
Sb  0.500  0.500  0.500 [1 per cell]

Most intense lines, 2θ = 10–80°, in order of rising 2θ:
2θ (°), intensity, index
32.6, 1000, 1 1 1
36.9, 357, 2 0 0
39.4, 150, 0 0 2
53.2, 126, 2 2 0
55.1, 227, 2 0 2
63.8, 293, 3 1 1
67.1, 126, 1 1 3
68.2, 120, 2 2 2

***

Starting from a PBE-relaxed structure, the powder X-ray diffraction pattern of Rb4Pb9 was computed for Cu Kα (weighted mean of Kα1 and Kα2).
Intensities are scaled so that the largest is 1000.

a b c (Å): 10.083 13.604 16.551
angles (deg): 90.00 102.93 90.00
Space group P2_1/m (No. 11)
One atom of each set of equivalent atoms:
Rb  0.050  0.001  0.370 [4 per cell]
Rb  0.120  0.250  0.206 [2 per cell]
Rb  0.260  0.250  0.568 [2 per cell]
Rb  0.325  0.599  0.908 [4 per cell]
Rb  0.380  0.575  0.213 [4 per cell]
Pb  0.003  0.060  0.877 [4 per cell]
Pb  0.055  0.750  0.029 [2 per cell]
Pb  0.059  0.750  0.242 [2 per cell]
Pb  0.142  0.750  0.497 [2 per cell]
Pb  0.175  0.750  0.690 [2 per cell]
Pb  0.230  0.134  0.784 [4 per cell]
Pb  0.243  0.134  0.023 [4 per cell]
Pb  0.312  0.566  0.624 [4 per cell]
Pb  0.389  0.130  0.380 [4 per cell]
Pb  0.389  0.632  0.453 [4 per cell]
Pb  0.432  0.250  0.925 [2 per cell]
Pb  0.492  0.750  0.753 [2 per cell]

Most intense lines, 2θ = 10–80°, in order of rising 2θ:
2θ (°), intensity, index
11.5, 1000, 1 1 -1
12.8, 242, 0 1 2
25.7, 385, 0 2 4
26.0, 206, 1 3 -3
26.7, 236, 2 3 0
27.9, 229, 2 1 3
31.1, 252, 3 0 -4
31.8, 448, 2 4 -1

***

Starting from a PBE-relaxed structure, the powder X-ray diffraction pattern of Tb4Al16Fe3 was computed for Cu Kα (weighted mean of Kα1 and Kα2).
Intensities are scaled so that the largest is 1000.

a b c (Å): 6.036 6.036 11.254
angles (deg): 90.00 90.00 90.00
Space group P4/mmm (No. 123)
One atom of each set of equivalent atoms:
Tb  0.000  0.500  0.192 [4 per cell]
Al  0.000  0.000  0.195 [2 per cell]
Al  0.224  0.224  0.000 [4 per cell]
Al  0.252  0.252  0.386 [8 per cell]
Al  0.500  0.500  0.212 [2 per cell]
Fe  0.000  0.500  0.500 [2 per cell]
Fe  0.500  0.500  0.000 [1 per cell]

Most intense lines, 2θ = 10–80°, in order of rising 2θ:
2θ (°), intensity, index
20.8, 913, 1 1 0
26.2, 324, 1 1 2
29.6, 412, 2 0 0
31.8, 857, 1 1 3
33.7, 438, 2 0 2
38.3, 1000, 2 0 3
42.4, 659, 2 2 0
53.9, 372, 3 1 3

***

Starting from a PBE-relaxed structure, the powder X-ray diffraction pattern of KRb2CuBr6 was computed for Cu Kα (weighted mean of Kα1 and Kα2).
Intensities are scaled so that the largest is 1000.

a b c (Å): 11.314 11.314 11.314
angles (deg): 90.00 90.00 90.00
Space group Fm-3m (No. 225)
One atom of each set of equivalent atoms:
K  0.000  0.000  0.000 [4 per cell]
Rb  0.250  0.250  0.250 [8 per cell]
Cu  0.000  0.000  0.500 [4 per cell]
Br  0.000  0.000  0.276 [24 per cell]

Most intense lines, 2θ = 10–80°, in order of rising 2θ:
2θ (°), intensity, index
13.6, 211, 1 1 1
27.3, 999, 2 2 2
31.6, 1000, 4 0 0
41.5, 186, 5 1 1
45.3, 649, 4 4 0
53.7, 342, 6 2 2
56.3, 202, 4 4 4
75.1, 216, 8 4 0

***

Starting from a PBE-relaxed structure, the powder X-ray diffraction pattern of Nd8AlNi2 was computed for Cu Kα (weighted mean of Kα1 and Kα2).
Intensities are scaled so that the largest is 1000.

a b c (Å): 8.917 13.690 5.366
angles (deg): 90.00 104.17 90.00
Space group Cm (No. 8)
One atom of each set of equivalent atoms:
Nd  0.000  0.000  0.000 [2 per cell]
Nd  0.081  0.375  0.757 [4 per cell]
Nd  0.188  0.125  0.620 [4 per cell]
Nd  0.268  0.500  0.378 [2 per cell]
Nd  0.383  0.248  0.189 [4 per cell]
Al  0.384  0.000  0.189 [2 per cell]
Ni  0.385  0.311  0.690 [4 per cell]

Most intense lines, 2θ = 10–80°, in order of rising 2θ:
2θ (°), intensity, index
26.7, 296, 2 2 -1
29.9, 661, 2 0 1
31.3, 1000, 0 4 1
32.3, 609, 3 1 -1
33.4, 611, 2 4 0
34.1, 380, 1 1 -2
36.9, 527, 3 3 0
52.6, 294, 2 4 2

***

Starting from a PBE-relaxed structure, the powder X-ray diffraction pattern of Sc5Al2Ga5 was computed for Cu Kα (weighted mean of Kα1 and Kα2).
Intensities are scaled so that the largest is 1000.

a b c (Å): 14.484 4.318 9.183
angles (deg): 90.00 128.02 90.00
Space group C2/m (No. 12)
One atom of each set of equivalent atoms:
Sc  0.000  0.000  0.000 [2 per cell]
Sc  0.102  0.000  0.419 [4 per cell]
Sc  0.178  0.000  0.829 [4 per cell]
Al  0.151  0.500  0.257 [4 per cell]
Ga  0.000  0.500  0.500 [2 per cell]
Ga  0.063  0.500  0.859 [4 per cell]
Ga  0.236  0.500  0.682 [4 per cell]

Most intense lines, 2θ = 10–80°, in order of rising 2θ:
2θ (°), intensity, index
36.0, 836, 3 1 -3
36.7, 500, 2 0 2
39.1, 187, 1 1 -3
39.3, 1000, 5 1 -1
41.8, 447, 0 2 0
51.7, 130, 8 0 -4
56.9, 183, 2 2 2
74.7, 135, 5 3 -1

***

Starting from a PBE-relaxed structure, the powder X-ray diffraction pattern of Nd10Ge3Bi3 was computed for Cu Kα (weighted mean of Kα1 and Kα2).
Intensities are scaled so that the largest is 1000.

a b c (Å): 9.2140 9.2140 6.6319
angles (deg): 90.00 90.00 120.00
Space group P-62m (No. 189)
One atom of each set of equivalent atoms:
Nd  0.0000  0.2438  0.0000 [3 per cell]
Nd  0.0000  0.7553  0.5000 [3 per cell]
Nd  0.3333  0.6667  0.2614 [4 per cell]
Ge  0.0000  0.3860  0.5000 [3 per cell]
Bi  0.0000  0.6067  0.0000 [3 per cell]

Most intense lines, 2θ = 10–80°, in order of rising 2θ:
2θ (°), intensity, index
26.9, 199, 0 0 2
29.6, 307, 2 1 0
32.6, 1000, 2 1 1
33.3, 832, 1 1 2
33.7, 464, 3 0 0
48.1, 198, 2 2 2
51.2, 284, 2 1 3
64.8, 177, 5 0 2

***

Starting from a PBE-relaxed structure, the powder X-ray diffraction pattern of Sm2HoThSe4 was computed for Cu Kα (weighted mean of Kα1 and Kα2).
Intensities are scaled so that the largest is 1000.

a b c (Å): 7.167 4.122 7.265
angles (deg): 90.00 109.15 90.00
Space group P2/m (No. 10)
One atom of each set of equivalent atoms:
Sm  0.000  0.000  0.000 [1 per cell]
Sm  0.000  0.500  0.500 [1 per cell]
Ho  0.500  0.000  0.500 [1 per cell]
Th  0.500  0.500  0.000 [1 per cell]
Se  0.250  0.000  0.742 [2 per cell]
Se  0.256  0.500  0.259 [2 per cell]

Most intense lines, 2θ = 10–80°, in order of rising 2θ:
2θ (°), intensity, index
26.4, 187, 2 0 0
30.4, 1000, 1 1 1
43.3, 379, 2 0 2
43.8, 246, 3 1 -1
43.9, 122, 0 2 0
54.4, 130, 2 2 -2
63.3, 123, 2 2 2
71.5, 114, 3 1 -5

***

Repeat the second record exactly.
Starting from a PBE-relaxed structure, the powder X-ray diffraction pattern of Rb4Pb9 was computed for Cu Kα (weighted mean of Kα1 and Kα2).
Intensities are scaled so that the largest is 1000.

a b c (Å): 10.083 13.604 16.551
angles (deg): 90.00 102.93 90.00
Space group P2_1/m (No. 11)
One atom of each set of equivalent atoms:
Rb  0.050  0.001  0.370 [4 per cell]
Rb  0.120  0.250  0.206 [2 per cell]
Rb  0.260  0.250  0.568 [2 per cell]
Rb  0.325  0.599  0.908 [4 per cell]
Rb  0.380  0.575  0.213 [4 per cell]
Pb  0.003  0.060  0.877 [4 per cell]
Pb  0.055  0.750  0.029 [2 per cell]
Pb  0.059  0.750  0.242 [2 per cell]
Pb  0.142  0.750  0.497 [2 per cell]
Pb  0.175  0.750  0.690 [2 per cell]
Pb  0.230  0.134  0.784 [4 per cell]
Pb  0.243  0.134  0.023 [4 per cell]
Pb  0.312  0.566  0.624 [4 per cell]
Pb  0.389  0.130  0.380 [4 per cell]
Pb  0.389  0.632  0.453 [4 per cell]
Pb  0.432  0.250  0.925 [2 per cell]
Pb  0.492  0.750  0.753 [2 per cell]

Most intense lines, 2θ = 10–80°, in order of rising 2θ:
2θ (°), intensity, index
11.5, 1000, 1 1 -1
12.8, 242, 0 1 2
25.7, 385, 0 2 4
26.0, 206, 1 3 -3
26.7, 236, 2 3 0
27.9, 229, 2 1 3
31.1, 252, 3 0 -4
31.8, 448, 2 4 -1